The following is a calculated X-ray powder pattern of YZr3Rh4. It was derived from the GGA-PBE geometry in Alexandria, using CuKα.

Structural model:
```
data_YZr3Rh4
_chemical_formula_sum 'Y3 Zr9 Rh12'
_space_group_name_H-M_alt 'R -3 m'
_space_group_IT_number 166
_space_group_name_Hall '-R 3 2"'
_cell_length_a 4.6047
_cell_length_b 4.6047
_cell_length_c 24.9610
_cell_angle_alpha 90.00
_cell_angle_beta 90.00
_cell_angle_gamma 120.00
loop_
_atom_site_label
_atom_site_fract_x
_atom_site_fract_y
_atom_site_fract_z
_atom_site_occupancy
Y1 0.0000 0.0000 0.0000 1
Zr1 0.0000 0.0000 0.2484 1
Zr2 0.0000 0.0000 0.5000 1
Rh1 0.0000 0.0000 0.1317 1
Rh2 0.0000 0.0000 0.3938 1
```

Peak list (6 most intense, 5 to 70 degrees two-theta, in order of rising 2θ)
2θ/deg	d/Å	I/Imax	index
10.63	8.320	95	0 0 3
36.57	2.457	926	0 1 8
39.13	2.302	1000	1 1 0
46.02	1.972	107	0 1 11
54.63	1.680	283	2 0 8
69.23	1.357	272	1 2 8

The following is a calculated X-ray powder pattern of YZrRh2. It was derived from the GGA-PBE geometry in Alexandria, using CuKα.

Structural model:
```
data_YZrRh2
_chemical_formula_sum 'Y1 Zr1 Rh2'
_space_group_name_H-M_alt 'P m m m'
_space_group_IT_number 47
_cell_length_a 3.283
_cell_length_b 3.381
_cell_length_c 6.926
_cell_angle_alpha 90.00
_cell_angle_beta 90.00
_cell_angle_gamma 90.00
loop_
_space_group_symop_operation_xyz
'x,y,z'
'-x,-y,-z'
'-x,-y,z'
'x,y,-z'
'x,-y,-z'
'-x,y,z'
'-x,y,-z'
'x,-y,z'
loop_
_atom_site_label
_atom_site_fract_x
_atom_site_fract_y
_atom_site_fract_z
_atom_site_occupancy
Y1 0.000 0.000 0.000 1
Zr1 0.000 0.000 0.500 1
Rh1 0.500 0.500 0.274 1
```

Peak list (6 most intense, 5 to 70 degrees two-theta, in order of rising 2θ)
2θ/deg	d/Å	I/Imax	index
37.16	2.419	1000	0 1 2
37.76	2.382	956	1 0 2
38.21	2.355	971	1 1 0
67.09	1.395	290	1 1 4
68.00	1.379	325	1 2 2
69.17	1.358	308	2 1 2

The following is a calculated X-ray powder pattern of Zn3Rh2. It was derived from the GGA-PBE geometry in Alexandria, using CuKα.

Structural model:
```
data_Zn3Rh2
_chemical_formula_sum 'Zn6 Rh4'
_space_group_name_H-M_alt 'P 4/m'
_space_group_IT_number 83
_cell_length_a 6.637
_cell_length_b 6.637
_cell_length_c 3.177
_cell_angle_alpha 90.00
_cell_angle_beta 90.00
_cell_angle_gamma 90.00
loop_
_space_group_symop_operation_xyz
'x,y,z'
'-x,-y,-z'
'-y,x,z'
'y,-x,-z'
'-x,-y,z'
'x,y,-z'
'y,-x,z'
'-y,x,-z'
loop_
_atom_site_label
_atom_site_fract_x
_atom_site_fract_y
_atom_site_fract_z
_atom_site_occupancy
Zn1 0.000 0.000 0.000 1
Zn2 0.101 0.680 0.500 1
Zn3 0.500 0.500 0.500 1
Rh1 0.199 0.378 0.000 1
```

Peak list (6 most intense, 5 to 70 degrees two-theta, in order of rising 2θ)
2θ/deg	d/Å	I/Imax	index
30.11	2.968	38	1 2 0
39.26	2.295	21	2 0 1
41.64	2.169	1000	1 2 1
43.10	2.099	430	3 1 0
58.06	1.589	92	0 0 2
62.59	1.484	125	2 4 0

The following is a calculated X-ray powder pattern of Zn8Rh3. It was derived from the GGA-PBE geometry in Alexandria, using CuKα.

Structural model:
```
data_Zn8Rh3
_chemical_formula_sum 'Zn16 Rh6'
_space_group_name_H-M_alt 'C 1 2/m 1'
_space_group_IT_number 12
_cell_length_a 8.779
_cell_length_b 3.731
_cell_length_c 9.665
_cell_angle_alpha 90.00
_cell_angle_beta 102.27
_cell_angle_gamma 90.00
loop_
_space_group_symop_operation_xyz
'x,y,z'
'-x,-y,-z'
'-x,y,-z'
'x,-y,z'
'x+1/2,y+1/2,z'
'-x+1/2,-y+1/2,-z'
'-x+1/2,y+1/2,-z'
'x+1/2,-y+1/2,z'
loop_
_atom_site_label
_atom_site_fract_x
_atom_site_fract_y
_atom_site_fract_z
_atom_site_occupancy
Zn1 0.043 0.000 0.323 1
Zn2 0.135 0.000 0.960 1
Zn3 0.187 0.500 0.774 1
Zn4 0.229 0.000 0.591 1
Rh1 0.000 0.500 0.500 1
Rh2 0.088 0.500 0.147 1
```

Peak list (6 most intense, 5 to 70 degrees two-theta, in order of rising 2θ)
2θ/deg	d/Å	I/Imax	index
40.55	2.225	1000	1 1 3
41.12	2.195	958	3 1 -2
45.31	2.002	364	4 0 1
48.35	1.882	286	2 0 -5
48.82	1.865	291	0 2 0
68.79	1.365	197	4 2 1

The following is a calculated X-ray powder pattern of Zn4Rh. It was derived from the GGA-PBE geometry in Alexandria, using CuKα.

Structural model:
```
data_Zn4Rh
_chemical_formula_sum 'Zn8 Rh2'
_space_group_name_H-M_alt 'P -4 21 c'
_space_group_IT_number 114
_cell_length_a 5.238
_cell_length_b 5.238
_cell_length_c 5.812
_cell_angle_alpha 90.00
_cell_angle_beta 90.00
_cell_angle_gamma 90.00
loop_
_space_group_symop_operation_xyz
'x,y,z'
'y,-x,-z'
'-x,-y,z'
'-y,x,-z'
'x+1/2,-y+1/2,-z+1/2'
'y+1/2,x+1/2,z+1/2'
'-x+1/2,y+1/2,-z+1/2'
'-y+1/2,-x+1/2,z+1/2'
loop_
_atom_site_label
_atom_site_fract_x
_atom_site_fract_y
_atom_site_fract_z
_atom_site_occupancy
Zn1 0.108 0.270 0.347 1
Rh1 0.000 0.000 0.000 1
```

Peak list (6 most intense, 5 to 70 degrees two-theta, in order of rising 2θ)
2θ/deg	d/Å	I/Imax	index
35.32	2.541	307	1 0 2
37.67	2.388	336	2 0 1
38.43	2.343	426	2 1 0
39.41	2.286	633	1 1 2
41.56	2.173	1000	2 1 1
50.21	1.817	288	1 0 3

The following is a calculated X-ray powder pattern of Zn6Rh. It was derived from the GGA-PBE geometry in Alexandria, using CuKα.

Structural model:
```
data_Zn6Rh
_chemical_formula_sum 'Zn24 Rh4'
_space_group_name_H-M_alt 'C m c m'
_space_group_IT_number 63
_space_group_name_Hall '-C 2c 2'
_cell_length_a 8.033
_cell_length_b 6.616
_cell_length_c 8.130
_cell_angle_alpha 90.00
_cell_angle_beta 90.00
_cell_angle_gamma 90.00
loop_
_atom_site_label
_atom_site_fract_x
_atom_site_fract_y
_atom_site_fract_z
_atom_site_occupancy
Zn1 0.000 0.200 0.000 1
Zn2 0.212 0.500 0.000 1
Zn3 0.249 0.250 0.250 1
Rh1 0.000 0.500 0.250 1
```

Peak list (6 most intense, 5 to 70 degrees two-theta, in order of rising 2θ)
2θ/deg	d/Å	I/Imax	index
17.36	5.107	182	1 1 0
28.05	3.181	166	1 1 2
41.77	2.162	1000	2 2 2
42.68	2.119	230	3 1 2
44.58	2.033	244	0 0 4
45.15	2.008	185	4 0 0

The following is a calculated X-ray powder pattern of Zn2Rh13. It was derived from the GGA-PBE geometry in Alexandria, using CuKα.

Structural model:
```
data_Zn2Rh13
_chemical_formula_sum 'Zn2 Rh13'
_space_group_name_H-M_alt 'P -1'
_space_group_IT_number 2
_cell_length_a 4.698
_cell_length_b 6.045
_cell_length_c 8.166
_cell_angle_alpha 72.65
_cell_angle_beta 73.50
_cell_angle_gamma 82.81
loop_
_space_group_symop_operation_xyz
'x,y,z'
'-x,-y,-z'
loop_
_atom_site_label
_atom_site_fract_x
_atom_site_fract_y
_atom_site_fract_z
_atom_site_occupancy
Zn1 0.064 0.399 0.233 1
Rh1 0.000 0.000 0.500 1
Rh2 0.136 0.801 0.966 1
Rh3 0.198 0.201 0.700 1
Rh4 0.270 0.595 0.433 1
Rh5 0.335 0.002 0.167 1
Rh6 0.405 0.398 0.900 1
Rh7 0.467 0.801 0.634 1
```

Peak list (6 most intense, 5 to 70 degrees two-theta, in order of rising 2θ)
2θ/deg	d/Å	I/Imax	index
40.64	2.220	1000	0 2 3
40.79	2.212	989	2 1 2
47.25	1.924	643	1 0 4
47.61	1.910	314	1 3 1
68.84	1.364	101	-1 1 5
69.33	1.355	397	3 2 0

The following is a calculated X-ray powder pattern of Zn2Rh3. It was derived from the GGA-PBE geometry in Alexandria, using CuKα.

Structural model:
```
data_Zn2Rh3
_chemical_formula_sum 'Zn4 Rh6'
_space_group_name_H-M_alt 'P 4/m m m'
_space_group_IT_number 123
_space_group_name_Hall '-P 4 2'
_cell_length_a 2.937
_cell_length_b 2.937
_cell_length_c 16.127
_cell_angle_alpha 90.00
_cell_angle_beta 90.00
_cell_angle_gamma 90.00
loop_
_atom_site_label
_atom_site_fract_x
_atom_site_fract_y
_atom_site_fract_z
_atom_site_occupancy
Zn1 0.000 0.000 0.097 1
Zn2 0.000 0.000 0.292 1
Rh1 0.000 0.000 0.500 1
Rh2 0.500 0.500 0.000 1
Rh3 0.500 0.500 0.195 1
Rh4 0.500 0.500 0.392 1
```

Peak list (6 most intense, 5 to 70 degrees two-theta, in order of rising 2θ)
2θ/deg	d/Å	I/Imax	index
30.44	2.937	27	1 0 0
37.90	2.374	22	1 0 4
41.59	2.172	1000	1 0 5
43.58	2.077	451	1 1 0
57.11	1.613	87	0 0 10
63.34	1.468	143	2 0 0